No. 1
Theoretical powder X-ray diffraction pattern of Nb3AlCr8 for CuKα, from a GGA-PBE-relaxed structure.
Neutral-atom scattering factors, no anomalous dispersion.

Largest 12 diffraction maxima, low angle first, 10 to 90 degrees two-theta:
d [Å]	Position (°2θ)	intensity
3.733	23.83	11
2.904	30.79	11
2.437	36.89	41
2.255	39.98	79
2.110	42.86	13
2.081	43.48	100
2.040	44.40	70
2.001	45.32	15
1.369	68.54	28
1.327	71.02	21
1.275	74.38	26
1.218	78.51	21

```
data_Nb3AlCr8
_chemical_formula_sum 'Nb3 Al1 Cr8'
_cell_length_a 4.8733
_cell_length_b 4.8733
_cell_length_c 8.0043
_cell_angle_alpha 90.00
_cell_angle_beta 90.00
_cell_angle_gamma 120.00
_symmetry_space_group_name_H-M 'P 3 m 1'
_symmetry_Int_Tables_number 156
_symmetry_space_group_name_Hall 'P 3 -2"'
loop_
_atom_site_label
_atom_site_fract_x
_atom_site_fract_y
_atom_site_fract_z
_atom_site_occupancy
Nb1 0.0000 0.0000 0.0000 1
Nb2 0.0000 0.0000 0.3825 1
Nb3 0.3333 0.6667 0.8757 1
Al1 0.3333 0.6667 0.5031 1
Cr1 0.0076 0.5038 0.1914 1
Cr2 0.3292 0.1646 0.6875 1
Cr3 0.6667 0.3333 0.4387 1
Cr4 0.6667 0.3333 0.9385 1
```

No. 2
Theoretical powder X-ray diffraction pattern of NbAlCr for CuKα, from a GGA-PBE-relaxed structure.
Neutral-atom scattering factors, no anomalous dispersion.

Largest 12 diffraction maxima, low angle first, 10 to 90 degrees two-theta:
d [Å]	Position (°2θ)	intensity
3.001	29.77	18
2.498	35.95	19
2.486	36.13	28
2.340	38.47	100
2.144	42.15	23
2.136	42.31	59
2.091	43.27	48
2.081	43.48	18
1.404	66.60	13
1.361	68.98	13
1.322	71.36	18
1.243	76.67	13

```
data_NbAlCr
_chemical_formula_sum 'Nb8 Al8 Cr8'
_cell_length_a 8.355
_cell_length_b 4.996
_cell_length_c 8.597
_cell_angle_alpha 90.00
_cell_angle_beta 90.00
_cell_angle_gamma 90.00
_symmetry_space_group_name_H-M 'A m m 2'
_symmetry_Int_Tables_number 38
_symmetry_space_group_name_Hall 'A 2 -2'
loop_
_atom_site_label
_atom_site_fract_x
_atom_site_fract_y
_atom_site_fract_z
_atom_site_occupancy
Nb1 0.181 0.000 0.000 1
Nb2 0.309 0.000 0.668 1
Al1 0.245 0.000 0.327 1
Al2 0.500 0.245 0.919 1
Cr1 0.000 0.000 0.504 1
Cr2 0.000 0.239 0.741 1
Cr3 0.500 0.000 0.165 1
```

No. 3
Theoretical powder X-ray diffraction pattern of NbAlCr4 for CuKα, from a GGA-PBE-relaxed structure.
Neutral-atom scattering factors, no anomalous dispersion.

Largest 12 diffraction maxima, low angle first, 10 to 90 degrees two-theta:
d [Å]	Position (°2θ)	intensity
7.802	11.34	40
2.450	36.68	34
2.338	38.51	17
2.217	40.69	73
2.075	43.62	100
2.048	44.23	85
1.950	46.56	16
1.864	48.86	17
1.365	68.76	25
1.330	70.85	21
1.257	75.65	26
1.225	77.99	24

```
data_NbAlCr4
_chemical_formula_sum 'Nb2 Al2 Cr8'
_cell_length_a 4.9007
_cell_length_b 4.9007
_cell_length_c 7.8020
_cell_angle_alpha 90.00
_cell_angle_beta 90.00
_cell_angle_gamma 120.00
_symmetry_space_group_name_H-M 'P -3 m 1'
_symmetry_Int_Tables_number 164
_symmetry_space_group_name_Hall '-P 3 2"'
loop_
_atom_site_label
_atom_site_fract_x
_atom_site_fract_y
_atom_site_fract_z
_atom_site_occupancy
Nb1 0.3333 0.6667 0.0624 1
Al1 0.3333 0.6667 0.4357 1
Cr1 0.0000 0.0000 0.0000 1
Cr2 0.0000 0.0000 0.5000 1
Cr3 0.1710 0.3420 0.7444 1
```